No. 1
The following is a computed PXRD pattern of Ba2CaFe2CuF14. It was derived from DFT lattice parameters and positions (GGA+U), using a wavelength of 1.5418 Å.
Kinematic intensities with the Lorentz-polarization factor, no thermal factor.

Main lines, by angle (2θ = 5–70°):
d (Å)	I/Imax
3.765	26
3.554	100
3.357	23
3.240	25
3.039	34
3.011	27
2.344	20
2.257	34
2.207	19
1.883	21

Crystal structure
```
Ba2CaFe2CuF14
1.0
7.0356 -2.7239 0.0000
7.0356 2.7239 0.0000
-0.4097 0.0000 15.0588
Ba Ca Fe Cu F
4 2 4 2 28
direct
0.1192 0.2568 0.1226 Ba
0.2568 0.1192 0.6226 Ba
0.7432 0.8808 0.3774 Ba
0.8808 0.7432 0.8774 Ba
0.4199 0.5801 0.2500 Ca
0.5801 0.4199 0.7500 Ca
0.0950 0.1476 0.3752 Fe
0.1476 0.0950 0.8752 Fe
0.8524 0.9050 0.1248 Fe
0.9050 0.8524 0.6248 Fe
0.5000 0.5000 0.0000 Cu
0.5000 0.5000 0.5000 Cu
0.0381 0.6408 0.2223 F
0.0687 0.9154 0.3439 F
0.0846 0.9313 0.1561 F
0.1209 0.6007 0.0454 F
0.1303 0.7023 0.5194 F
0.1605 0.3452 0.4032 F
0.1764 0.5845 0.7102 F
0.2977 0.8697 0.9806 F
0.3452 0.1605 0.9032 F
0.3592 0.9619 0.2777 F
0.3854 0.5106 0.8845 F
0.3993 0.8791 0.4546 F
0.4155 0.8236 0.7898 F
0.4894 0.6146 0.6155 F
0.5106 0.3854 0.3845 F
0.5845 0.1764 0.2102 F
0.6007 0.1209 0.5454 F
0.6146 0.4894 0.1155 F
0.6408 0.0381 0.7223 F
0.6548 0.8395 0.0968 F
0.7023 0.1303 0.0194 F
0.8236 0.4155 0.2898 F
0.8395 0.6548 0.5968 F
0.8697 0.2977 0.4806 F
0.8791 0.3993 0.9546 F
0.9154 0.0687 0.8439 F
0.9313 0.0846 0.6561 F
0.9619 0.3592 0.7777 F
```

---

No. 2
The following is a computed PXRD pattern of K2MoP2O9. It was derived from DFT lattice parameters and positions (GGA+U), using a wavelength of 1.5418 Å.
Kinematic intensities with the Lorentz-polarization factor, no thermal factor.

Main lines, by angle (2θ = 5–70°):
d (Å)	I/Imax
7.060	100
6.249	34
4.035	58
3.964	80
3.892	28
3.471	51
3.301	47
3.007	29
2.995	35
2.479	31

Crystal structure
```
K2MoP2O9
1.0
7.0255 -4.0992 0.0000
7.0255 4.0992 0.0000
-2.4165 0.0000 15.5679
K Mo P O
8 4 8 36
direct
0.0134 0.6976 0.7627 K
0.0634 0.2268 0.9742 K
0.2268 0.0634 0.4742 K
0.3024 0.9866 0.7373 K
0.6976 0.0134 0.2627 K
0.7732 0.9366 0.5258 K
0.9366 0.7732 0.0258 K
0.9866 0.3024 0.2373 K
0.2446 0.5287 0.3641 Mo
0.4713 0.7554 0.1359 Mo
0.5287 0.2446 0.8641 Mo
0.7554 0.4713 0.6359 Mo
0.2657 0.6586 0.5767 P
0.2912 0.4523 0.1552 P
0.3414 0.7343 0.9233 P
0.4523 0.2912 0.6552 P
0.5477 0.7088 0.3448 P
0.6586 0.2657 0.0767 P
0.7088 0.5477 0.8448 P
0.7343 0.3414 0.4233 P
0.0286 0.6827 0.3138 O
0.1149 0.4422 0.1208 O
0.1242 0.8208 0.6310 O
0.1792 0.8758 0.8690 O
0.1822 0.6736 0.4811 O
0.2049 0.3477 0.3869 O
0.2843 0.4626 0.6018 O
0.2841 0.6402 0.1443 O
0.3173 0.9714 0.1862 O
0.3264 0.8178 0.0189 O
0.3477 0.2049 0.8869 O
0.3585 0.5370 0.9161 O
0.3597 0.3957 0.2502 O
0.3598 0.7159 0.3557 O
0.3957 0.3597 0.7502 O
0.4422 0.1149 0.6208 O
0.4626 0.2843 0.1018 O
0.4630 0.6415 0.5839 O
0.5370 0.3585 0.4161 O
0.5374 0.7157 0.8982 O
0.5578 0.8851 0.3792 O
0.6043 0.6403 0.2498 O
0.6402 0.2841 0.6443 O
0.6403 0.6043 0.7498 O
0.6415 0.4630 0.0839 O
0.6523 0.7951 0.1131 O
0.6736 0.1822 0.9811 O
0.6827 0.0286 0.8138 O
0.7159 0.3598 0.8557 O
0.7157 0.5374 0.3982 O
0.7951 0.6523 0.6131 O
0.8178 0.3264 0.5189 O
0.8208 0.1242 0.1310 O
0.8758 0.1792 0.3690 O
0.8851 0.5578 0.8792 O
0.9714 0.3173 0.6862 O
```

---

No. 3
The following is a computed PXRD pattern of Li3Co3Ge6O16. It was derived from DFT lattice parameters and positions (GGA+U), using a wavelength of 1.5418 Å.
Kinematic intensities with the Lorentz-polarization factor, no thermal factor.

Main lines, by angle (2θ = 5–70°):
d (Å)	I/Imax
5.952	20
4.860	25
3.764	30
3.436	15
2.976	24
2.538	100
2.430	11
2.104	28
1.620	40
1.488	49

Crystal structure
```
Li3Co3Ge6O16
1.0
8.4094 0.0000 0.0000
0.0000 8.4208 0.0000
-0.0089 0.0000 8.4209
Li Co Ge O
6 6 12 32
direct
0.0006 0.0000 0.2499 Li
0.1232 0.6255 0.1234 Li
0.3726 0.3750 0.6262 Li
0.6274 0.8750 0.3738 Li
0.8768 0.1255 0.8766 Li
0.9994 0.5000 0.7501 Li
0.2472 0.2508 0.9987 Co
0.2512 0.7473 0.4979 Co
0.4968 0.5022 0.2520 Co
0.5032 0.0022 0.7480 Co
0.7488 0.2473 0.5021 Co
0.7528 0.7508 0.0013 Co
0.1210 0.8714 0.8806 Ge
0.1239 0.1311 0.6266 Ge
0.1265 0.3750 0.3795 Ge
0.3676 0.6210 0.8738 Ge
0.3708 0.8723 0.1271 Ge
0.3749 0.1246 0.3779 Ge
0.6251 0.6246 0.6221 Ge
0.6292 0.3723 0.8729 Ge
0.6324 0.1210 0.1262 Ge
0.8735 0.8750 0.6205 Ge
0.8761 0.6311 0.3734 Ge
0.8790 0.3714 0.1194 Ge
0.1036 0.3719 0.1457 O
0.1071 0.6009 0.3780 O
0.1125 0.8881 0.6383 O
0.1207 0.3516 0.6055 O
0.1293 0.1051 0.8517 O
0.1401 0.1385 0.3890 O
0.1453 0.8788 0.1012 O
0.1478 0.6449 0.8707 O
0.3528 0.3558 0.3723 O
0.3570 0.1212 0.6027 O
0.3640 0.8620 0.8874 O
0.3722 0.8934 0.3524 O
0.3783 0.6474 0.1056 O
0.3887 0.1117 0.1384 O
0.3950 0.3964 0.8778 O
0.3987 0.6275 0.6433 O
0.6013 0.1275 0.3567 O
0.6050 0.8964 0.1222 O
0.6113 0.6117 0.8616 O
0.6217 0.1474 0.8944 O
0.6278 0.3934 0.6476 O
0.6360 0.3620 0.1126 O
0.6430 0.6212 0.3973 O
0.6472 0.8558 0.6278 O
0.8522 0.1449 0.1293 O
0.8547 0.3788 0.8988 O
0.8599 0.6385 0.6110 O
0.8707 0.6051 0.1483 O
0.8793 0.8516 0.3945 O
0.8875 0.3881 0.3617 O
0.8929 0.1009 0.6220 O
0.8964 0.8719 0.8543 O
```

---

No. 4
The following is a computed PXRD pattern of Li5V3Bi2P6O24. It was derived from DFT lattice parameters and positions (GGA+U), using a wavelength of 1.5418 Å.
Kinematic intensities with the Lorentz-polarization factor, no thermal factor.

Main lines, by angle (2θ = 5–70°):
d (Å)	I/Imax
6.428	38
6.313	96
4.531	28
4.495	42
4.463	100
3.684	29
2.846	56
2.828	43
2.817	28
2.589	43

Crystal structure
```
Li5V3Bi2P6O24
1.0
8.9203 0.0000 0.0000
-4.3247 7.8027 0.0000
-0.0535 -5.0648 7.3612
Li V Bi P O
5 3 2 6 24
direct
0.0000 0.0000 0.0000 Li
0.0036 0.8434 0.3081 Li
0.0128 0.5295 0.8324 Li
0.5997 0.5044 0.5127 Li
0.7727 0.6220 0.9661 Li
0.2649 0.3044 0.8057 V
0.3728 0.7022 0.5014 V
0.7694 0.3050 0.3023 V
0.3353 0.9999 0.1462 Bi
0.8159 0.0183 0.6544 Bi
0.0597 0.7915 0.6894 P
0.0748 0.5039 0.1131 P
0.0914 0.2231 0.4080 P
0.5724 0.2015 0.6071 P
0.5734 0.5108 0.2072 P
0.5739 0.8022 0.9011 P
0.0624 0.9945 0.7578 O
0.0679 0.3663 0.9097 O
0.0725 0.1474 0.5396 O
0.0846 0.7948 0.8663 O
0.0920 0.6943 0.1236 O
0.0952 0.0508 0.2319 O
0.2147 0.7924 0.6173 O
0.2438 0.5918 0.2549 O
0.2729 0.4305 0.4797 O
0.4006 0.6050 0.8549 O
0.4060 0.3990 0.0558 O
0.4140 0.2020 0.6618 O
0.5593 0.9972 0.5551 O
0.5625 0.3431 0.2348 O
0.5645 0.2007 0.4290 O
0.5713 0.8275 0.7350 O
0.5765 0.6674 0.4045 O
0.5797 0.9916 0.0639 O
0.7478 0.8129 0.9379 O
0.7529 0.6379 0.1882 O
0.7586 0.3839 0.7513 O
0.8716 0.6068 0.5476 O
0.8983 0.3714 0.1305 O
0.9267 0.2256 0.3748 O
```

---

No. 5
The following is a computed PXRD pattern of Li9Mn2Co5O16. It was derived from DFT lattice parameters and positions (GGA+U), using a wavelength of 1.5418 Å.
Kinematic intensities with the Lorentz-polarization factor, no thermal factor.

Main lines, by angle (2θ = 5–70°):
d (Å)	I/Imax
12.943	12
4.854	100
2.554	17
2.481	27
2.127	32
2.064	57
1.915	16
1.597	9
1.482	16
1.480	17

Crystal structure
```
Li9Mn2Co5O16
1.0
2.5859 -1.4440 0.0000
2.5859 1.4440 0.0000
-0.9872 0.0000 38.8292
Li Mn Co O
9 2 5 16
direct
0.0000 0.0000 0.0000 Li
0.0638 0.0638 0.1890 Li
0.1875 0.1875 0.5624 Li
0.3195 0.3195 0.9419 Li
0.4384 0.4384 0.3132 Li
0.5616 0.5616 0.6868 Li
0.6805 0.6805 0.0581 Li
0.8125 0.8125 0.4376 Li
0.9362 0.9362 0.8110 Li
0.3730 0.3730 0.1252 Mn
0.6270 0.6270 0.8748 Mn
0.1257 0.1257 0.3750 Co
0.2501 0.2501 0.7498 Co
0.5000 0.5000 0.5000 Co
0.7499 0.7499 0.2502 Co
0.8743 0.8743 0.6250 Co
0.0136 0.0136 0.0977 O
0.0957 0.0957 0.2782 O
0.1585 0.1585 0.4709 O
0.2171 0.2171 0.6544 O
0.2638 0.2638 0.8453 O
0.3438 0.3438 0.0320 O
0.4046 0.4046 0.2214 O
0.4676 0.4676 0.4035 O
0.5324 0.5324 0.5965 O
0.5954 0.5954 0.7786 O
0.6562 0.6562 0.9680 O
0.7362 0.7362 0.1547 O
0.7829 0.7829 0.3456 O
0.8415 0.8415 0.5291 O
0.9043 0.9043 0.7218 O
0.9864 0.9864 0.9023 O
```

---

No. 6
The following is a computed PXRD pattern of CaLaFeBiO6. It was derived from DFT lattice parameters and positions (GGA+U), using a wavelength of 1.5418 Å.
Kinematic intensities with the Lorentz-polarization factor, no thermal factor.

Main lines, by angle (2θ = 5–70°):
d (Å)	I/Imax
4.831	38
2.959	100
2.523	26
2.416	5
2.092	31
1.920	13
1.708	40
1.610	9
1.479	19
1.414	9

Crystal structure
```
CaLaFeBiO6
1.0
0.0000 4.1841 4.1841
4.1841 0.0000 4.1841
4.1841 4.1841 0.0000
Ca La Fe Bi O
1 1 1 1 6
direct
0.0000 0.0000 0.0000 Ca
0.7500 0.7500 0.7500 La
0.2500 0.2500 0.2500 Fe
0.5000 0.5000 0.5000 Bi
0.0206 0.0206 0.4794 O
0.0206 0.4794 0.0206 O
0.0206 0.4794 0.4794 O
0.4794 0.0206 0.0206 O
0.4794 0.0206 0.4794 O
0.4794 0.4794 0.0206 O
```

---

Number 6 is which compound? CaLaFeBiO6